# PrIn2Au2
Simulated X-ray diffraction stick pattern, Cu Kα (λ = 1.5418 Å). Input: a crystal structure in Alexandria, relaxed with PBE.

Cell and atoms:
a b c (Å): 4.3768 4.3768 12.6515
angles (deg): 90.00 90.00 90.00
Space group I4/mmm (No. 139)
One atom of each set of equivalent atoms:
Pr  0.0000  0.0000  0.0000 x2
In  0.0000  0.5000  0.2500 x4
Au  0.0000  0.0000  0.3933 x4

The 6 most intense peaks (15° ≤ 2θ ≤ 90°), sorted by position:
(1 0 1), 4.136 Å, rel. 25; (1 0 3), 3.037 Å, rel. 41; (1 1 2), 2.780 Å, rel. 74; (1 1 4), 2.212 Å, rel. 36; (2 0 0), 2.189 Å, rel. 100; (2 2 0), 1.548 Å, rel. 50